Structure and calculated powder XRD pattern of BaTi2B (DFT lattice parameters and positions (PBE); Cu Kα (λ = 1.5418 Å)).
Peak positions follow from Bragg's law for the DFT cell and can differ from measured ones.

Main lines, by intensity (10° ≤ 2θ ≤ 80°):
2θ = 31.0°, I 100; 2θ = 26.4°, I 83; 2θ = 49.5°, I 35; 2θ = 46.5°, I 34; 2θ = 54.3°, I 29; 2θ = 76.5°, I 21; 2θ = 74.2°, I 17; 2θ = 32.4°, I 15

Structural model:
```
BaTi2B
1.0
0.000 4.780 4.780
4.780 0.000 4.780
4.780 4.780 0.000
Ba Ti B
2 4 2
Cartesian
1.195 1.195 1.195
8.366 8.366 8.366
4.780 2.390 2.390
2.390 4.780 2.390
2.390 2.390 4.780
4.780 4.780 4.780
3.585 3.585 3.585
5.976 5.976 5.976
```